# 1
For Tb4CdHg2Rh, a DFT-relaxed cell (PBE, Alexandria) gives the simulated X-ray diffraction stick pattern in this record (λ = 1.5418 Å (Cu Kα)).
Lines closer than 0.1° are merged.

Atomic structure:
```
Tb4CdHg2Rh
1.0
2.6031 1.5029 8.3887
-2.6031 1.5029 8.3887
0.0000 -3.0058 8.3887
Tb Cd Hg Rh
4 1 2 1
direct
0.1136 0.1136 0.1136 Tb
0.3680 0.3680 0.3680 Tb
0.6320 0.6320 0.6320 Tb
0.8864 0.8864 0.8864 Tb
0.5000 0.5000 0.5000 Cd
0.2390 0.2390 0.2390 Hg
0.7610 0.7610 0.7610 Hg
0.0000 0.0000 0.0000 Rh
```

Most intense lines, 2θ = 10–90°, in order of rising 2θ:
2θ/deg	I (rel.)
34.45	100
34.77	78
49.76	29
61.72	19
61.93	30
83.12	13


# 2
For CdHgS2, a DFT-relaxed cell (PBE, Alexandria) gives the simulated X-ray diffraction stick pattern in this record (λ = 1.5418 Å (Cu Kα)).
Lines closer than 0.1° are merged.

Atomic structure:
```
CdHgS2
1.0
4.2184 0.0000 0.0000
0.0000 4.2184 0.0000
0.0000 0.0000 5.9504
Cd Hg S
1 1 2
direct
0.0000 0.0000 0.0000 Cd
0.5000 0.5000 0.5000 Hg
0.0000 0.5000 0.7538 S
0.5000 0.0000 0.2462 S
```

Most intense lines, 2θ = 10–90°, in order of rising 2θ:
2θ/deg	I (rel.)
25.89	100
29.98	30
42.92	54
50.77	32
50.87	16
68.63	19